No. 1
Diffraction record for Rb2ScHgBr6. The powder XRD pattern is simulated, not measured: it uses a PBE-relaxed structure and Cu Kα.

Top 10 peaks for 2θ from 10° to 90°, in order of rising 2θ:
d_spacing	2theta	I (rel.)
5.721	15.49	43
5.681	15.60	23
4.031	22.05	42
3.353	26.59	30
3.241	27.52	34
2.861	31.27	100
2.840	31.50	54
2.596	34.56	21
2.016	44.97	67
1.478	62.87	23

Crystal structure
Unit cell a=7.892 b=11.362 c=8.307 alpha=90.00 beta=90.00 gamma=90.00
Fractional coordinates of all 20 atoms:
Rb (0.250, 0.019, 0.215)
Rb (0.250, 0.481, 0.215)
Rb (0.750, 0.519, 0.785)
Rb (0.750, 0.981, 0.785)
Sc (0.250, 0.750, 0.770)
Sc (0.750, 0.250, 0.230)
Hg (0.250, 0.250, 0.723)
Hg (0.750, 0.750, 0.277)
Br (0.007, 0.750, 0.550)
Br (0.013, 0.750, 0.001)
Br (0.250, 0.515, 0.777)
Br (0.250, 0.985, 0.777)
Br (0.487, 0.750, 0.001)
Br (0.493, 0.750, 0.550)
Br (0.507, 0.250, 0.450)
Br (0.513, 0.250, 0.999)
Br (0.750, 0.015, 0.223)
Br (0.750, 0.485, 0.223)
Br (0.987, 0.250, 0.999)
Br (0.993, 0.250, 0.450)

***

No. 2
Diffraction record for Rb2ScHgBr6. The powder XRD pattern is simulated, not measured: it uses a PBE-relaxed structure and Cu Kα.

Top 10 peaks for 2θ from 10° to 90°, in order of rising 2θ:
d_spacing	2theta	I (rel.)
5.693	15.56	39
4.026	22.08	40
3.433	25.95	23
3.287	27.13	42
2.847	31.43	100
2.612	34.33	22
2.546	35.25	19
2.013	45.04	70
1.643	55.95	24
1.274	74.48	19

Crystal structure
Unit cell a=8.047 b=8.047 c=8.047 alpha=119.90 beta=119.90 gamma=90.17
Fractional coordinates of all 10 atoms:
Rb (0.250, 0.750, 0.500)
Rb (0.750, 0.250, 0.500)
Sc (0.000, 0.000, 0.000)
Hg (0.500, 0.500, 0.000)
Br (0.234, 0.234, 0.467)
Br (0.234, 0.766, 0.000)
Br (0.235, 0.235, 0.000)
Br (0.765, 0.765, 0.000)
Br (0.766, 0.234, 0.000)
Br (0.766, 0.766, 0.533)

***

No. 3
Diffraction record for RbTl2HgBr8. The powder XRD pattern is simulated, not measured: it uses a PBE-relaxed structure and Cu Kα.

Top 10 peaks for 2θ from 10° to 90°, in order of rising 2θ:
d_spacing	2theta	I (rel.)
4.912	18.06	100
3.566	24.97	83
3.387	26.31	65
2.976	30.03	25
2.886	30.99	40
2.534	35.42	27
2.243	40.20	34
2.153	41.96	58
2.059	43.98	58
2.023	44.81	24

Crystal structure
Unit cell a=11.563 b=11.563 c=11.563 alpha=35.93 beta=35.93 gamma=35.93
Fractional coordinates of all 12 atoms:
Rb (0.000, 0.000, 0.000)
Tl (0.253, 0.253, 0.253)
Tl (0.747, 0.747, 0.747)
Hg (0.500, 0.500, 0.500)
Br (0.121, 0.413, 0.783)
Br (0.217, 0.587, 0.879)
Br (0.334, 0.334, 0.334)
Br (0.413, 0.783, 0.121)
Br (0.587, 0.879, 0.217)
Br (0.666, 0.666, 0.666)
Br (0.783, 0.121, 0.413)
Br (0.879, 0.217, 0.587)